# 1
BaPrTeO6: theoretical X-ray powder pattern (Cu Kα (λ = 1.5418 Å)), based on a crystal structure in Alexandria, relaxed with GGA-PBE.
Intensities are scaled so that the largest is 100.

Structure:
```
BaPrTeO6
1.0
5.905 0.000 0.000
-2.952 5.114 0.000
0.000 0.000 5.531
Ba Pr Te O
1 1 1 6
Direct
0.000 0.000 0.000 Ba
0.667 0.333 0.500 Pr
0.333 0.667 0.500 Te
0.055 0.400 0.299 O
0.055 0.655 0.701 O
0.345 0.400 0.701 O
0.345 0.945 0.299 O
0.600 0.655 0.299 O
0.600 0.945 0.701 O
```

Principal peaks in the range 10 to 90 degrees two-theta, sorted by position:
d 5.531, 2θ 16.0, intensity 16; d 3.755, 2θ 23.7, intensity 100; d 2.952, 2θ 30.3, intensity 46; d 2.765, 2θ 32.4, intensity 10; d 2.604, 2θ 34.4, intensity 10; d 2.321, 2θ 38.8, intensity 25; d 2.018, 2θ 44.9, intensity 46; d 1.825, 2θ 50.0, intensity 26; d 1.705, 2θ 53.8, intensity 15; d 1.451, 2θ 64.2, intensity 11; d 1.374, 2θ 68.3, intensity 10; d 1.302, 2θ 72.6, intensity 10


# 2
HoSi2RuRh: theoretical X-ray powder pattern (Cu Kα (λ = 1.5418 Å)), based on a crystal structure in Alexandria, relaxed with GGA-PBE.
Intensities are scaled so that the largest is 100.

Structure:
```
HoSi2RuRh
1.0
-2.059 2.059 4.869
2.059 -2.059 4.869
2.059 2.059 -4.869
Ho Si Ru Rh
1 2 1 1
Direct
0.000 0.000 0.000 Ho
0.374 0.374 0.000 Si
0.626 0.626 0.000 Si
0.250 0.750 0.500 Ru
0.750 0.250 0.500 Rh
```

Principal peaks in the range 10 to 90 degrees two-theta, sorted by position:
d 3.793, 2θ 23.5, intensity 31; d 2.549, 2θ 35.2, intensity 32; d 2.499, 2θ 35.9, intensity 100; d 2.434, 2θ 36.9, intensity 17; d 2.059, 2θ 44.0, intensity 38; d 1.810, 2θ 50.4, intensity 9; d 1.760, 2θ 51.9, intensity 10; d 1.602, 2θ 57.5, intensity 15; d 1.572, 2θ 58.7, intensity 17; d 1.456, 2θ 63.9, intensity 12; d 1.418, 2θ 65.9, intensity 17; d 1.258, 2θ 75.6, intensity 22